LaUMn2O8: calculated X-ray powder pattern (Cu Kα, 1.54184 Å), based on a structure optimized by DFT (GGA+U).
Intensities are scaled so that the largest is 100.

Largest 10 diffraction maxima, in order of falling intensity, 5 to 70 degrees two-theta:
(hkl), 2theta, Rel. int.
1 1 2, 28.70, 100.0
1 0 1, 18.58, 45.6
1 3 2, 57.69, 30.8
2 0 4, 47.16, 27.2
2 0 0, 34.04, 21.3
0 0 4, 31.64, 18.8
1 1 6, 54.56, 17.6
2 1 1, 39.06, 16.0
2 2 0, 48.90, 14.4
2 2 4, 59.43, 13.1

Crystal structure
a = 5.268 Å, b = 5.268 Å, c = 11.310 Å
α = 90.00°, β = 90.00°, γ = 90.00°
Space group I-4 (No. 82)
Asymmetric unit:
La 0.000 0.000 0.000 [2 per cell]
U 0.000 0.500 0.750 [2 per cell]
Mn 0.000 0.000 0.500 [2 per cell]
Mn 0.000 0.500 0.250 [2 per cell]
O 0.145 0.270 0.577 [8 per cell]
O 0.187 0.790 0.192 [8 per cell]